Diffraction record for NaLiVO2F2. The powder diffraction line list is theoretical, not measured: it uses a crystal structure in Alexandria, relaxed with GGA+U and Cu Kα (λ = 1.5418 Å).
Kinematic intensities with the Lorentz-polarization factor, no thermal factor.

Principal peaks in the range 5° ≤ 2θ ≤ 70°, sorted by position:
| two_theta | Rel. int. | h k l |
| --- | --- | --- |
| 14.16 | 73.1 | 0 0 1 |
| 14.91 | 96.3 | 1 0 0 |
| 15.13 | 51.1 | 1 0 -1 |
| 26.66 | 64.5 | 2 0 -1 |
| 26.94 | 100.0 | 0 1 1 |
| 27.48 | 99.3 | 1 1 -1 |
| 28.53 | 59.5 | 0 0 2 |
| 41.01 | 54.6 | 3 0 -1 |
| 43.39 | 62.0 | 0 0 3 |
| 46.59 | 78.8 | 0 2 0 |

Structure:
Cell lengths 6.6874, 3.8990, 7.0427 Å; angles 90.00, 117.33, 90.00 degrees
Fractional coordinates of all 14 atoms:
Na 0.0221 0.2500 0.1911
Na 0.9779 0.7500 0.8089
Li 0.3470 0.7500 0.4603
Li 0.6530 0.2500 0.5397
V 0.4256 0.2500 0.8102
V 0.5744 0.7500 0.1898
O 0.3465 0.2500 0.5350
O 0.4445 0.7500 0.8696
O 0.5555 0.2500 0.1304
O 0.6535 0.7500 0.4650
F 0.1127 0.2500 0.7589
F 0.2472 0.7500 0.1535
F 0.7528 0.2500 0.8465
F 0.8873 0.7500 0.2411